Entry 1:
Computed powder diffraction line list of CePu2Te5 for Cu Kα, 1.54184 Å, from a structure optimized by DFT (PBE).

Structure:
Unit cell a=7.492 b=7.492 c=5.537 alpha=90.00 beta=90.00 gamma=90.00
Fractional positions:
Ce  0.000  0.000  0.000
Pu  0.000  0.500  0.500
Pu  0.500  0.000  0.500
Te  0.000  0.000  0.500
Te  0.281  0.281  0.000
Te  0.281  0.719  0.000
Te  0.719  0.281  0.000
Te  0.719  0.719  0.000

Top 12 peaks for 2θ = 10–80°, sorted by position:
d [Å]	2theta	Rel. int.
7.492	11.81	13
3.828	23.24	51
3.351	26.60	19
3.103	28.77	100
2.768	32.34	34
2.649	33.84	53
2.178	41.45	17
1.914	47.51	41
1.873	48.61	17
1.656	55.50	16
1.604	57.47	21
1.551	59.59	18

---

Entry 2:
Computed powder diffraction line list of TaTiMo3 for Cu Kα, 1.54184 Å, from a structure optimized by DFT (PBE).

Structure:
Unit cell a=13.552 b=5.224 c=4.760 alpha=90.00 beta=90.00 gamma=90.00
Fractional positions:
Ta  0.051  0.250  0.250
Ta  0.449  0.750  0.250
Ta  0.551  0.250  0.750
Ta  0.949  0.750  0.750
Ti  0.250  0.000  0.147
Ti  0.250  0.500  0.353
Ti  0.750  0.000  0.853
Ti  0.750  0.500  0.647
Mo  0.059  0.750  0.250
Mo  0.148  0.000  0.697
Mo  0.148  0.500  0.803
Mo  0.352  0.000  0.697
Mo  0.352  0.500  0.803
Mo  0.441  0.250  0.250
Mo  0.559  0.750  0.750
Mo  0.648  0.000  0.303
Mo  0.648  0.500  0.197
Mo  0.852  0.000  0.303
Mo  0.852  0.500  0.197
Mo  0.941  0.250  0.750

Top 12 peaks for 2θ = 10–80°, sorted by position:
d [Å]	2theta	Rel. int.
6.776	13.07	32
3.406	26.17	13
3.277	27.21	17
2.438	36.87	52
2.380	37.80	41
2.355	38.21	100
2.258	39.93	30
2.139	42.26	12
2.042	44.35	60
1.703	53.84	22
1.478	62.86	13
1.421	65.70	11

---

Entry 3:
Computed powder diffraction line list of CaTb2Ho6 for Cu Kα, 1.54184 Å, from a structure optimized by DFT (PBE).

Structure:
Unit cell a=6.736 b=9.197 c=9.612 alpha=98.54 beta=95.92 gamma=95.47
Fractional positions:
Ca  0.129  0.379  0.277
Ca  0.871  0.621  0.723
Tb  0.210  0.955  0.725
Tb  0.468  0.714  0.279
Tb  0.532  0.286  0.721
Tb  0.790  0.045  0.275
Ho  0.022  0.262  0.615
Ho  0.095  0.847  0.061
Ho  0.248  0.491  0.943
Ho  0.317  0.061  0.390
Ho  0.352  0.603  0.612
Ho  0.432  0.174  0.053
Ho  0.568  0.826  0.947
Ho  0.648  0.397  0.388
Ho  0.683  0.939  0.610
Ho  0.752  0.509  0.057
Ho  0.905  0.153  0.939
Ho  0.978  0.738  0.385

Top 12 peaks for 2θ = 10–80°, sorted by position:
d [Å]	2theta	Rel. int.
3.142	28.41	24
2.837	31.54	24
2.749	32.58	100
2.106	42.96	16
1.815	50.27	13
1.812	50.37	7
1.621	56.80	14
1.619	56.87	7
1.531	60.48	4
1.528	60.59	15
1.515	61.16	8
1.513	61.28	8

---

Entry 4:
Computed powder diffraction line list of Mn2GaBSe for Cu Kα, 1.54184 Å, from a structure optimized by DFT (PBE).

Structure:
Unit cell a=8.252 b=8.252 c=8.252 alpha=22.01 beta=22.01 gamma=22.01
Fractional positions:
Mn  0.000  0.000  0.000
Mn  0.248  0.248  0.248
Ga  0.839  0.839  0.839
B  0.622  0.622  0.622
Se  0.732  0.732  0.732

Top 12 peaks for 2θ = 10–80°, sorted by position:
d [Å]	2theta	Rel. int.
4.025	22.09	19
2.712	33.03	83
2.662	33.67	72
2.487	36.12	77
2.376	37.87	24
2.140	42.22	71
2.024	44.77	100
2.012	45.05	30
1.808	50.46	42
1.711	53.58	27
1.576	58.59	74
1.241	76.84	34

---

Entry 5:
Computed powder diffraction line list of Sc2Te2O7 for Cu Kα, 1.54184 Å, from a structure optimized by DFT (PBE).

Structure:
Unit cell a=6.185 b=6.185 c=10.019 alpha=108.51 beta=108.51 gamma=82.24
Fractional positions:
Sc  0.059  0.204  0.440
Sc  0.204  0.059  0.940
Sc  0.796  0.941  0.060
Sc  0.941  0.796  0.560
Te  0.041  0.531  0.199
Te  0.469  0.959  0.301
Te  0.531  0.041  0.699
Te  0.959  0.469  0.801
O  0.017  0.784  0.925
O  0.059  0.941  0.250
O  0.062  0.494  0.642
O  0.216  0.983  0.575
O  0.236  0.378  0.923
O  0.378  0.236  0.423
O  0.494  0.062  0.142
O  0.506  0.938  0.858
O  0.622  0.764  0.577
O  0.764  0.622  0.077
O  0.784  0.017  0.425
O  0.938  0.506  0.358
O  0.941  0.059  0.750
O  0.983  0.216  0.075

Top 12 peaks for 2θ = 10–80°, sorted by position:
d [Å]	2theta	Rel. int.
5.860	15.12	43
5.749	15.41	41
4.225	21.03	100
4.067	21.85	49
3.083	28.96	91
3.030	29.48	77
2.930	30.51	68
2.879	31.07	54
2.571	34.90	72
2.188	41.26	33
2.035	44.53	29
1.585	58.20	25

---

Entry 6:
Computed powder diffraction line list of KTlC4N4 for Cu Kα, 1.54184 Å, from a structure optimized by DFT (PBE).

Structure:
Unit cell a=9.475 b=9.475 c=9.475 alpha=131.50 beta=131.50 gamma=71.02
Fractional positions:
K  0.375  0.125  0.250
K  0.625  0.875  0.750
Tl  0.125  0.375  0.750
Tl  0.875  0.625  0.250
C  0.080  0.646  0.805
C  0.146  0.841  0.567
C  0.226  0.420  0.067
C  0.341  0.274  0.695
C  0.659  0.726  0.305
C  0.774  0.580  0.933
C  0.854  0.159  0.433
C  0.920  0.354  0.195
N  0.065  0.791  0.838
N  0.274  0.435  0.227
N  0.291  0.953  0.727
N  0.453  0.226  0.662
N  0.547  0.774  0.338
N  0.709  0.047  0.273
N  0.726  0.565  0.773
N  0.935  0.209  0.162

Top 12 peaks for 2θ = 10–80°, sorted by position:
d [Å]	2theta	Rel. int.
6.949	12.74	59
4.480	19.82	100
4.290	20.70	21
3.892	22.85	17
3.395	26.25	23
2.882	31.03	13
2.752	32.54	19
2.739	32.69	41
2.345	38.39	32
2.329	38.65	15
1.778	51.39	18
1.586	58.15	11